Structure and theoretical X-ray powder pattern of Ca2Al6Pd9 (a DFT-relaxed cell (GGA-PBE, Alexandria); Cu Kα (weighted mean of Kα1 and Kα2)).
No peak broadening, texture or thermal motion is included.

Structure:
abc: 5.6744 5.6744 11.6291
angles: 90.00 90.00 120.00
Space group P6/mmm (No. 191)
Asymmetric unit:
1 Ca 0.0000 0.0000 0.1935 x2
2 Al 0.3333 0.6667 0.1657 x4
3 Al 0.3333 0.6667 0.5000 x2
4 Pd 0.0000 0.5000 0.0000 x3
5 Pd 0.0000 0.5000 0.3323 x6

The 10 most intense peaks (10° ≤ 2θ ≤ 90°), sorted by position:
- 18.05°, I 54
- 22.94°, I 52
- 29.35°, I 31
- 36.57°, I 82
- 39.35°, I 44
- 43.61°, I 100
- 46.88°, I 19
- 60.88°, I 33
- 65.84°, I 22
- 84.67°, I 20